Entry 1:
Starting from a crystal structure in the Materials Project, relaxed with GGA-PBE, the powder XRD pattern of SrTh2Se5 was computed for Cu Kα, 1.54184 Å.
Intensities are scaled so that the largest is 100.

Atomic structure:
```
SrTh2Se5
1.0
8.803 0.000 0.000
0.000 7.969 0.000
-0.001 0.000 12.669
Sr Th Se
4 8 20
Cartesian
0.048 0.269 2.213
0.047 3.715 8.548
8.755 4.254 4.121
8.755 7.700 10.456
2.190 4.580 0.112
2.190 7.374 6.446
4.384 4.125 4.057
4.384 7.828 10.392
4.419 0.141 2.277
4.418 3.844 8.612
6.613 0.595 6.223
6.613 3.389 12.557
0.365 1.364 5.204
0.365 2.621 11.539
2.328 5.565 9.922
2.329 6.389 3.587
2.429 1.376 8.676
2.429 2.608 2.341
2.452 4.324 6.357
2.453 7.629 0.022
4.015 1.278 5.047
4.015 2.706 11.382
4.788 5.263 1.287
4.787 6.691 7.622
6.350 0.340 12.647
6.350 3.645 6.312
6.374 5.361 10.328
6.374 6.593 3.993
6.474 1.580 9.082
6.475 2.404 2.747
8.438 5.348 1.130
8.437 6.605 7.465
```

Peak list (10 most intense, 2θ from 10° to 90°, low angle first)
2θ (°)	I_rel	index
10.0	44.7	1 0 0
23.8	58.8	0 1 3
24.1	45.9	2 1 -1
24.6	44.3	2 0 2
31.1	29.0	2 2 1
33.5	100.0	2 2 2
34.9	48.2	2 0 -4
38.1	31.4	1 3 -2
41.0	38.7	4 0 0
42.7	48.8	2 1 5

Entry 2:
Starting from a crystal structure in the Materials Project, relaxed with GGA-PBE, the powder XRD pattern of SrU2Se5 was computed for Cu Kα, 1.54184 Å.
Intensities are scaled so that the largest is 100.

Atomic structure:
```
SrU2Se5
1.0
12.863 0.000 0.000
0.000 8.216 0.000
0.000 0.000 7.742
Sr U Se
4 8 20
Cartesian
0.080 2.054 0.626
6.352 6.162 4.497
6.511 2.054 3.245
12.783 6.162 7.117
2.341 0.004 3.964
2.341 4.104 3.964
4.090 4.112 0.093
4.090 8.211 0.093
8.773 0.004 7.650
8.773 4.104 7.650
10.522 4.112 3.779
10.522 8.211 3.779
0.019 2.054 3.721
1.537 4.505 1.310
1.537 7.818 1.310
2.381 2.054 6.364
2.793 6.162 6.127
3.639 2.054 2.255
4.050 6.162 2.493
4.895 0.397 5.182
4.895 3.710 5.182
6.412 6.162 7.592
6.451 2.054 0.150
7.968 4.505 2.561
7.968 7.818 2.561
8.813 2.054 5.249
9.224 6.162 5.487
10.070 2.054 1.616
10.481 6.162 1.378
11.326 0.397 6.432
11.326 3.710 6.432
12.844 6.162 4.021
```

Peak list (10 most intense, 2θ from 10° to 90°, low angle first)
2θ (°)	I_rel	index
13.8	47.1	2 0 0
23.0	33.2	0 0 2
23.7	51.1	3 0 1
25.7	40.6	2 2 0
32.3	82.5	3 2 1
34.8	100.0	2 2 2
35.5	57.1	1 0 3
40.8	36.3	3 0 3
43.1	44.8	5 2 1
46.7	34.6	3 2 3

Entry 3:
Starting from a crystal structure in the Materials Project, relaxed with GGA-PBE, the powder XRD pattern of SrY2Se4 was computed for Cu Kα, 1.54184 Å.
Intensities are scaled so that the largest is 100.

Atomic structure:
```
SrY2Se4
1.0
12.761 0.000 0.000
0.000 4.153 0.000
0.000 0.000 15.012
Sr Y Se
4 8 16
Cartesian
3.051 1.038 2.542
3.329 3.115 10.048
9.432 1.038 4.963
9.710 3.115 12.469
0.736 1.038 5.840
1.100 1.038 13.573
5.280 3.115 6.067
5.645 3.115 13.346
7.117 1.038 1.666
7.481 1.038 8.945
11.661 3.115 1.439
12.025 3.115 9.171
0.422 3.115 11.777
1.189 1.038 8.655
1.634 3.115 0.508
2.578 3.115 4.952
3.803 1.038 12.458
4.747 1.038 8.014
5.191 3.115 1.149
5.959 1.038 4.271
6.802 3.115 10.741
7.570 1.038 13.862
8.015 3.115 6.998
8.958 3.115 2.554
10.184 1.038 10.059
11.127 1.038 14.503
11.572 3.115 6.356
12.339 1.038 3.235
```

Peak list (10 most intense, 2θ from 10° to 90°, low angle first)
2θ (°)	I_rel	index
27.9	53.4	0 1 3
28.8	100.0	1 1 3
30.4	56.5	4 0 2
30.7	91.1	3 1 1
32.9	42.0	1 1 4
35.2	83.1	2 1 4
36.0	44.3	4 1 1
38.7	44.0	2 0 6
43.6	68.0	0 2 0
44.6	45.2	2 1 6